(1)
# Sr2NdSbO6
Computed X-ray diffraction stick pattern, Cu Kα. Input: a crystal structure in the Materials Project, relaxed with PBE.
Intensities are scaled so that the largest is 100.

Largest 12 diffraction maxima, in order of falling intensity, 2θ from 15° to 90°:
2θ = 29.47°, d = 3.031 Å, I 100; 2θ = 52.28°, d = 1.750 Å, I 40; 2θ = 42.16°, d = 2.143 Å, I 32; 2θ = 84.59°, d = 1.146 Å, I 22; 2θ = 61.15°, d = 1.516 Å, I 20; 2θ = 69.32°, d = 1.356 Å, I 18; 2θ = 20.72°, d = 4.287 Å, I 11; 2θ = 77.07°, d = 1.237 Å, I 6; 2θ = 47.42°, d = 1.917 Å, I 4; 2θ = 65.30°, d = 1.429 Å, I 2; 2θ = 80.85°, d = 1.189 Å, I 1; 2θ = 46.15°, d = 1.967 Å, I 1

a b c (Å): 6.0621 6.0621 6.0621
angles (deg): 60.00 60.00 60.00
Atoms (fractional coordinates):
Sr 0.2500 0.2500 0.2500
Sr 0.7500 0.7500 0.7500
Nd 0.0000 0.0000 0.0000
Sb 0.5000 0.5000 0.5000
O 0.2672 0.2672 0.7328
O 0.2672 0.7328 0.2672
O 0.2672 0.7328 0.7328
O 0.7328 0.2672 0.2672
O 0.7328 0.2672 0.7328
O 0.7328 0.7328 0.2672

(2)
# SnO2
Computed X-ray diffraction stick pattern, Cu Kα. Input: a crystal structure in the Materials Project, relaxed with PBE.
Intensities are scaled so that the largest is 100.

Largest 12 diffraction maxima, in order of falling intensity, 2θ from 15° to 90°:
2θ = 16.87°, d = 5.256 Å, I 100; 2θ = 39.76°, d = 2.267 Å, I 80; 2θ = 17.13°, d = 5.177 Å, I 64; 2θ = 32.72°, d = 2.737 Å, I 52; 2θ = 32.58°, d = 2.748 Å, I 48; 2θ = 34.12°, d = 2.628 Å, I 48; 2θ = 57.13°, d = 1.612 Å, I 34; 2θ = 57.84°, d = 1.594 Å, I 33; 2θ = 33.00°, d = 2.715 Å, I 26; 2θ = 19.58°, d = 4.534 Å, I 21; 2θ = 52.40°, d = 1.746 Å, I 21; 2θ = 68.57°, d = 1.369 Å, I 20

a b c (Å): 6.4491 6.4491 15.5314
angles (deg): 90.00 90.00 120.00
Atoms (fractional coordinates):
Sn 0.0000 0.0000 0.0000
Sn 0.0000 0.0000 0.3734
Sn 0.1757 0.3513 0.2108
Sn 0.1757 0.8243 0.2108
Sn 0.3314 0.1657 0.5417
Sn 0.5019 0.0037 0.8779
Sn 0.5019 0.4981 0.8779
Sn 0.6487 0.8243 0.2108
Sn 0.6667 0.3333 0.7068
Sn 0.8343 0.1657 0.5417
Sn 0.8343 0.6686 0.5417
Sn 0.9963 0.4981 0.8779
O 0.0000 0.0000 0.1279
O 0.0000 0.0000 0.6120
O 0.0191 0.5095 0.1430
O 0.1452 0.2904 0.4653
O 0.1452 0.8548 0.4653
O 0.1668 0.3335 0.9454
O 0.1668 0.8332 0.9454
O 0.2812 0.1406 0.2853
O 0.3333 0.6667 0.2876
O 0.3333 0.6667 0.8171
O 0.3806 0.1903 0.7978
O 0.4905 0.5095 0.1430
O 0.4905 0.9809 0.1430
O 0.5208 0.0415 0.6213
O 0.5208 0.4792 0.6213
O 0.6665 0.8332 0.9454
O 0.6667 0.3333 0.4758
O 0.6667 0.3333 0.9468
O 0.7096 0.8548 0.4653
O 0.8097 0.1903 0.7978
O 0.8097 0.6194 0.7978
O 0.8594 0.1406 0.2853
O 0.8594 0.7188 0.2853
O 0.9585 0.4792 0.6213

(3)
# Zr8Co3Cu
Computed X-ray diffraction stick pattern, Cu Kα. Input: a crystal structure in the Materials Project, relaxed with PBE.
Intensities are scaled so that the largest is 100.

Largest 12 diffraction maxima, in order of falling intensity, 2θ from 15° to 90°:
2θ = 35.25°, d = 2.546 Å, I 100; 2θ = 43.56°, d = 2.078 Å, I 35; 2θ = 44.47°, d = 2.037 Å, I 32; 2θ = 38.57°, d = 2.334 Å, I 24; 2θ = 60.33°, d = 1.534 Å, I 20; 2θ = 71.12°, d = 1.326 Å, I 19; 2θ = 61.78°, d = 1.502 Å, I 19; 2θ = 32.95°, d = 2.719 Å, I 12; 2θ = 39.57°, d = 2.278 Å, I 11; 2θ = 85.97°, d = 1.131 Å, I 9; 2θ = 67.61°, d = 1.386 Å, I 8; 2θ = 81.30°, d = 1.183 Å, I 8

a b c (Å): 5.3036 5.3036 9.1140
angles (deg): 90.00 90.00 118.33
Atoms (fractional coordinates):
Zr 0.0000 0.5000 0.5821
Zr 0.0000 0.5000 0.9167
Zr 0.1630 0.3292 0.2580
Zr 0.3292 0.1630 0.7420
Zr 0.5000 0.0000 0.0833
Zr 0.5000 0.0000 0.4179
Zr 0.6708 0.8370 0.7420
Zr 0.8370 0.6708 0.2580
Co 0.0000 0.0000 0.0000
Co 0.0000 0.0000 0.5000
Co 0.5000 0.5000 0.5000
Cu 0.5000 0.5000 0.0000

(4)
# Cs2PbO2
Computed X-ray diffraction stick pattern, Cu Kα. Input: a crystal structure in the Materials Project, relaxed with PBE.
Intensities are scaled so that the largest is 100.

Largest 12 diffraction maxima, in order of falling intensity, 2θ from 15° to 90°:
2θ = 26.57°, d = 3.355 Å, I 100; 2θ = 26.21°, d = 3.399 Å, I 57; 2θ = 25.47°, d = 3.497 Å, I 49; 2θ = 28.55°, d = 3.127 Å, I 48; 2θ = 31.63°, d = 2.829 Å, I 44; 2θ = 30.81°, d = 2.902 Å, I 40; 2θ = 45.19°, d = 2.007 Å, I 16; 2θ = 43.62°, d = 2.075 Å, I 15; 2θ = 42.63°, d = 2.121 Å, I 15; 2θ = 15.40°, d = 5.755 Å, I 14; 2θ = 24.87°, d = 3.579 Å, I 13; 2θ = 53.32°, d = 1.718 Å, I 13

a b c (Å): 8.0303 8.3449 11.1648
angles (deg): 85.07 70.63 61.33
Atoms (fractional coordinates):
Cs 0.0636 0.4502 0.1714
Cs 0.0715 0.9379 0.1805
Cs 0.2442 0.2613 0.4927
Cs 0.4013 0.5680 0.8548
Cs 0.5987 0.4320 0.1452
Cs 0.7558 0.7387 0.5073
Cs 0.9285 0.0621 0.8194
Cs 0.9364 0.5498 0.8286
Pb 0.3113 0.6934 0.4731
Pb 0.4024 0.0584 0.8809
Pb 0.5976 0.9416 0.1191
Pb 0.6887 0.3066 0.5269
O 0.0822 0.2083 0.9758
O 0.2016 0.5919 0.3613
O 0.3492 0.4862 0.6206
O 0.4938 0.8170 0.0060
O 0.5062 0.1830 0.9940
O 0.6508 0.5138 0.3794
O 0.7984 0.4081 0.6387
O 0.9178 0.7917 0.0242

(5)
# Fe2NiSe4
Computed X-ray diffraction stick pattern, Cu Kα. Input: a crystal structure in the Materials Project, relaxed with PBE.
Intensities are scaled so that the largest is 100.

Largest 12 diffraction maxima, in order of falling intensity, 2θ from 15° to 90°:
2θ = 33.86°, d = 2.648 Å, I 100; 2θ = 52.94°, d = 1.729 Å, I 83; 2θ = 34.19°, d = 2.622 Å, I 67; 2θ = 44.40°, d = 2.040 Å, I 64; 2θ = 33.71°, d = 2.659 Å, I 64; 2θ = 33.44°, d = 2.680 Å, I 46; 2θ = 43.81°, d = 2.066 Å, I 42; 2θ = 52.35°, d = 1.748 Å, I 39; 2θ = 43.97°, d = 2.059 Å, I 37; 2θ = 45.25°, d = 2.004 Å, I 36; 2θ = 34.51°, d = 2.599 Å, I 27; 2θ = 44.98°, d = 2.015 Å, I 26

a b c (Å): 3.4579 6.0388 6.4468
angles (deg): 116.32 104.42 90.62
Atoms (fractional coordinates):
Fe 0.0000 0.0000 0.0000
Fe 0.4974 0.3911 0.9775
Ni 0.7704 0.6933 0.5002
Se 0.1071 0.7141 0.2100
Se 0.3954 0.6731 0.7712
Se 0.6317 0.2465 0.2701
Se 0.8678 0.1449 0.7070

(6)
# MgTi2S4
Computed X-ray diffraction stick pattern, Cu Kα. Input: a crystal structure in the Materials Project, relaxed with PBE.
Intensities are scaled so that the largest is 100.

Largest 12 diffraction maxima, in order of falling intensity, 2θ from 15° to 90°:
2θ = 49.55°, d = 1.840 Å, I 100; 2θ = 34.59°, d = 2.593 Å, I 61; 2θ = 28.26°, d = 3.157 Å, I 53; 2θ = 28.81°, d = 3.099 Å, I 52; 2θ = 45.10°, d = 2.010 Å, I 36; 2θ = 34.35°, d = 2.610 Å, I 31; 2θ = 24.19°, d = 3.679 Å, I 30; 2θ = 48.78°, d = 1.867 Å, I 26; 2θ = 50.67°, d = 1.802 Å, I 24; 2θ = 23.83°, d = 3.734 Å, I 17; 2θ = 28.48°, d = 3.134 Å, I 16; 2θ = 72.97°, d = 1.296 Å, I 14

a b c (Å): 7.3609 7.3609 7.3609
angles (deg): 121.38 119.04 89.65
Atoms (fractional coordinates):
Mg 0.0000 0.0000 0.0000
Mg 0.5000 0.0000 0.5000
Ti 0.0000 0.0000 0.5000
Ti 0.0000 0.5000 0.0000
Ti 0.3732 0.6232 0.7500
Ti 0.6268 0.3768 0.2500
S 0.2349 0.7493 0.4855
S 0.2362 0.2507 0.9855
S 0.2393 0.2334 0.4940
S 0.2393 0.7453 0.0060
S 0.7607 0.2547 0.9940
S 0.7607 0.7666 0.5060
S 0.7638 0.7493 0.0145
S 0.7651 0.2507 0.5145